No. 1
# Nb3Os
Theoretical powder diffraction line list, Cu Kα (weighted mean of Kα1 and Kα2). Input: a PBE-relaxed structure.
Neutral-atom scattering factors, no anomalous dispersion.

Main lines, by angle (10° ≤ 2θ ≤ 90°):
d_spacing, Rel. int.
3.663, 21.8
2.590, 44.8
2.316, 59.8
2.115, 100.0
1.437, 12.7
1.384, 51.1
1.295, 14.1
1.158, 14.5
1.130, 11.6
1.104, 12.9

a = 5.180 Å, b = 5.180 Å, c = 5.180 Å
α = 90.00°, β = 90.00°, γ = 90.00°
Fractional coordinates of all 8 atoms:
Nb 0.000 0.250 0.500
Nb 0.000 0.750 0.500
Nb 0.250 0.500 0.000
Nb 0.500 0.000 0.250
Nb 0.500 0.000 0.750
Nb 0.750 0.500 0.000
Os 0.000 0.000 0.000
Os 0.500 0.500 0.500

No. 2
# KOs2O6
Theoretical powder diffraction line list, Cu Kα (weighted mean of Kα1 and Kα2). Input: a PBE-relaxed structure.
Neutral-atom scattering factors, no anomalous dispersion.

Main lines, by angle (10° ≤ 2θ ≤ 90°):
d_spacing, Rel. int.
6.457, 68.2
5.451, 54.8
4.766, 100.0
4.218, 45.3
3.154, 55.5
3.146, 36.7
3.085, 50.6
2.953, 64.1
2.724, 49.2
1.760, 31.1

a = 5.686 Å, b = 6.523 Å, c = 7.356 Å
α = 65.48°, β = 70.50°, γ = 75.77°
Fractional coordinates of all 18 atoms:
K 0.193 0.201 0.390
K 0.807 0.799 0.610
Os 0.185 0.857 0.953
Os 0.367 0.412 0.737
Os 0.633 0.588 0.263
Os 0.815 0.143 0.047
O 0.015 0.390 0.874
O 0.099 0.980 0.174
O 0.301 0.717 0.739
O 0.303 0.539 0.463
O 0.376 0.108 0.761
O 0.485 0.689 0.041
O 0.515 0.311 0.959
O 0.624 0.892 0.239
O 0.697 0.461 0.537
O 0.699 0.283 0.261
O 0.901 0.020 0.826
O 0.985 0.610 0.126

No. 3
# DyTlS2
Theoretical powder diffraction line list, Cu Kα (weighted mean of Kα1 and Kα2). Input: a PBE-relaxed structure.
Neutral-atom scattering factors, no anomalous dispersion.

Main lines, by angle (10° ≤ 2θ ≤ 90°):
d_spacing, Rel. int.
3.766, 31.6
3.338, 64.7
2.971, 100.0
2.196, 39.2
2.017, 33.9
1.897, 17.3
1.778, 25.0
1.669, 18.1
1.376, 15.6
1.286, 15.3

a = 4.034 Å, b = 4.034 Å, c = 22.596 Å
α = 90.00°, β = 90.00°, γ = 120.00°
Fractional coordinates of all 12 atoms:
Dy 0.000 0.000 0.000
Dy 0.333 0.667 0.667
Dy 0.667 0.333 0.333
Tl 0.000 0.000 0.500
Tl 0.333 0.667 0.167
Tl 0.667 0.333 0.833
S 0.000 0.000 0.267
S 0.000 0.000 0.733
S 0.333 0.667 0.399
S 0.333 0.667 0.934
S 0.667 0.333 0.066
S 0.667 0.333 0.601

No. 4
# CsMo3I7
Theoretical powder diffraction line list, Cu Kα (weighted mean of Kα1 and Kα2). Input: a PBE-relaxed structure.
Neutral-atom scattering factors, no anomalous dispersion.

Main lines, by angle (10° ≤ 2θ ≤ 90°):
d_spacing, Rel. int.
8.347, 84.3
6.354, 27.0
3.368, 100.0
3.195, 90.8
2.629, 18.3
2.351, 18.7
2.318, 60.3
2.050, 34.4
1.980, 20.7
1.845, 20.3

a = 11.069 Å, b = 11.069 Å, c = 16.975 Å
α = 90.00°, β = 90.00°, γ = 120.00°
Fractional coordinates of all 44 atoms:
Cs 0.000 0.000 0.000
Cs 0.000 0.000 0.500
Cs 0.333 0.667 0.250
Cs 0.667 0.333 0.750
Mo 0.191 0.526 0.685
Mo 0.191 0.665 0.815
Mo 0.335 0.526 0.815
Mo 0.335 0.809 0.685
Mo 0.474 0.665 0.685
Mo 0.474 0.809 0.815
Mo 0.526 0.191 0.185
Mo 0.526 0.335 0.315
Mo 0.665 0.191 0.315
Mo 0.665 0.474 0.185
Mo 0.809 0.335 0.185
Mo 0.809 0.474 0.315
I 0.031 0.345 0.091
I 0.031 0.686 0.409
I 0.043 0.372 0.819
I 0.043 0.671 0.681
I 0.314 0.345 0.409
I 0.314 0.969 0.091
I 0.329 0.372 0.681
I 0.329 0.957 0.819
I 0.333 0.667 0.549
I 0.333 0.667 0.951
I 0.345 0.031 0.591
I 0.345 0.314 0.909
I 0.372 0.043 0.319
I 0.372 0.329 0.181
I 0.628 0.671 0.819
I 0.628 0.957 0.681
I 0.655 0.686 0.091
I 0.655 0.969 0.409
I 0.667 0.333 0.049
I 0.667 0.333 0.451
I 0.671 0.043 0.181
I 0.671 0.628 0.319
I 0.686 0.031 0.909
I 0.686 0.655 0.591
I 0.957 0.329 0.319
I 0.957 0.628 0.181
I 0.969 0.314 0.591
I 0.969 0.655 0.909

No. 5
# Lu2Ga9Rh3
Theoretical powder diffraction line list, Cu Kα (weighted mean of Kα1 and Kα2). Input: a PBE-relaxed structure.
Neutral-atom scattering factors, no anomalous dispersion.

Main lines, by angle (10° ≤ 2θ ≤ 90°):
d_spacing, Rel. int.
3.503, 12.4
2.950, 22.5
2.421, 100.0
2.389, 15.9
2.369, 17.3
2.179, 57.6
2.173, 28.2
1.603, 13.8
1.457, 13.9
1.300, 22.0

a = 7.533 Å, b = 7.533 Å, c = 9.475 Å
α = 90.00°, β = 90.00°, γ = 60.18°
Fractional coordinates of all 28 atoms:
Lu 0.002 0.670 0.750
Lu 0.330 0.998 0.750
Lu 0.670 0.002 0.250
Lu 0.998 0.330 0.250
Ga 0.000 0.335 0.581
Ga 0.000 0.335 0.919
Ga 0.000 0.665 0.081
Ga 0.000 0.665 0.419
Ga 0.126 0.874 0.250
Ga 0.332 0.668 0.566
Ga 0.332 0.668 0.934
Ga 0.335 0.000 0.081
Ga 0.335 0.000 0.419
Ga 0.339 0.450 0.250
Ga 0.450 0.339 0.750
Ga 0.550 0.661 0.250
Ga 0.661 0.550 0.750
Ga 0.665 0.000 0.581
Ga 0.665 0.000 0.919
Ga 0.668 0.332 0.066
Ga 0.668 0.332 0.434
Ga 0.874 0.126 0.750
Rh 0.000 0.000 0.000
Rh 0.000 0.000 0.500
Rh 0.328 0.328 0.000
Rh 0.328 0.328 0.500
Rh 0.672 0.672 0.000
Rh 0.672 0.672 0.500